# CaLaGaCuO5
Calculated PXRD pattern, λ = 1.5418 Å (Cu Kα). Input: a cell relaxed with PBE.
Lines closer than 0.1° are merged.

Most intense lines, 2θ from 10° to 90°, most intense first:
2θ = 32.12°, rel. 100; 2θ = 31.97°, rel. 34; 2θ = 33.78°, rel. 33; 2θ = 22.92°, rel. 21; 2θ = 40.91°, rel. 20; 2θ = 59.38°, rel. 18; 2θ = 47.12°, rel. 14; 2θ = 47.26°, rel. 14; 2θ = 23.54°, rel. 14; 2θ = 44.91°, rel. 12

Structure:
a b c (Å): 8.945 8.945 5.307
angles (deg): 107.20 107.20 128.98
Atoms (fractional coordinates):
Ca 0.140 0.860 0.000
Ca 0.860 0.140 0.000
La 0.404 0.698 0.046
La 0.698 0.404 0.046
Ga 0.089 0.089 0.626
Ga 0.463 0.463 0.492
Cu 0.276 0.777 0.517
Cu 0.777 0.276 0.517
O 0.032 0.513 0.016
O 0.037 0.517 0.517
O 0.056 0.856 0.410
O 0.147 0.147 0.041
O 0.407 0.407 0.800
O 0.503 0.702 0.560
O 0.513 0.032 0.016
O 0.517 0.037 0.517
O 0.702 0.503 0.560
O 0.856 0.056 0.410